Computed PXRD pattern
Compound: CaCr2Ni
Radiation: Cu Kα
Structure: a DFT-relaxed cell (GGA-PBE, Alexandria)
Neutral-atom scattering factors, no anomalous dispersion.

Top 6 peaks for 2θ from 15° to 90°, sorted by position:
- 16.0 deg, d 5.541, I = 87, (0 0 1)
- 34.4 deg, d 2.610, I = 52, (2 0 -2)
- 36.1 deg, d 2.485, I = 100, (1 1 1)
- 43.8 deg, d 2.066, I = 30, (4 0 0)
- 44.1 deg, d 2.054, I = 82, (3 1 -1)
- 47.2 deg, d 1.924, I = 24, (1 1 2)

Structure:
a b c (Å): 8.5119 3.0976 5.7090
angles (deg): 90.00 103.91 90.00
Atoms (fractional coordinates):
Ca 0.0000 0.0000 0.0000
Ca 0.5000 0.5000 0.0000
Cr 0.2046 0.0000 0.5963
Cr 0.4876 0.0000 0.5027
Cr 0.7046 0.5000 0.5963
Cr 0.9876 0.5000 0.5027
Ni 0.2657 0.5000 0.3016
Ni 0.7657 0.0000 0.3016